Theoretical powder diffractogram
Compound: Tc3Ni
Radiation: Cu Kα X-rays
Structure: the GGA-PBE geometry in OQMD

Structural model:
abc: 5.374 5.374 4.322
angles: 90.00 90.00 120.00
Sites, in units of the cell vectors:
Tc 0.166 0.332 0.250
Tc 0.166 0.834 0.250
Tc 0.332 0.166 0.750
Tc 0.668 0.834 0.250
Tc 0.834 0.166 0.750
Tc 0.834 0.668 0.750
Ni 0.333 0.667 0.750
Ni 0.667 0.333 0.250

Peak list (8 most intense, 2θ = 5–70°, sorted by position)
d (Å)  I/Imax
4.654  2
3.167  3
2.687  1
2.327  25
2.161  26
2.049  100
1.629  1
1.583  14